This entry pairs a crystal structure of Li7Co5O12 with its calculated powder X-ray diffraction pattern. Radiation: λ = 1.5418 Å (Cu Kα). Structure: a DFT-relaxed cell (GGA+U, Alexandria).
Intensities are scaled so that the largest is 100.

Structural model:
```
Li7Co5O12
1.0
2.857 0.000 0.000
0.101 8.230 0.000
0.244 4.043 8.754
Li Co O
7 5 12
Cartesian
0.000 0.000 0.000 Li
0.050 4.115 0.000 Li
0.213 4.057 5.859 Li
1.536 6.359 1.423 Li
1.550 2.022 4.377 Li
1.666 5.914 7.330 Li
2.988 8.216 2.894 Li
0.239 8.145 5.870 Co
1.477 1.963 1.437 Co
1.601 6.137 4.377 Co
1.725 10.310 7.316 Co
2.963 4.128 2.884 Co
0.334 10.225 8.577 O
0.287 10.208 5.995 O
0.174 6.142 3.047 O
1.454 3.971 1.513 O
1.588 8.090 4.483 O
1.547 8.402 1.482 O
1.655 3.871 7.271 O
1.614 4.183 4.271 O
1.748 8.302 7.240 O
3.027 6.131 5.707 O
2.915 2.065 2.759 O
2.867 2.048 0.177 O
```

Main lines, by angle (2θ = 10–80°):
d [Å], Rel. int., h k l
8.754, 10, 0 0 1
7.449, 14, 0 1 0
4.779, 100, 0 1 -1
2.474, 26, 1 1 2
2.419, 13, -1 1 2
2.064, 28, 1 0 3
2.057, 26, 0 4 2
2.019, 26, 1 0 -3
1.877, 8, 1 -3 0
1.459, 14, 1 4 5